(1)
Theoretical X-ray powder pattern of La19Co6Ag4 for Cu Kα, 1.54184 Å, from DFT lattice parameters and positions (GGA-PBE).
Kinematic intensities with the Lorentz-polarization factor, no thermal factor.

The 6 most intense peaks (15 to 90 degrees two-theta), by angle:
3.209 Å, I = 21.9, (3 1 2)
2.830 Å, I = 100.0, (3 3 0)
2.355 Å, I = 25.0, (4 3 1)
2.001 Å, I = 14.8, (6 0 0)
1.698 Å, I = 13.1, (7 0 1)
1.525 Å, I = 13.9, (6 1 5)

Structure:
```
data_La19Co6Ag4
_chemical_formula_sum 'La38 Co12 Ag8'
_cell_length_a 12.0081
_cell_length_b 12.0081
_cell_length_c 12.0081
_cell_angle_alpha 90.00
_cell_angle_beta 90.00
_cell_angle_gamma 90.00
_symmetry_space_group_name_H-M 'I 2 3'
_symmetry_Int_Tables_number 197
_symmetry_space_group_name_Hall 'I 2 2 3'
loop_
_atom_site_label
_atom_site_type_symbol
_atom_site_fract_x
_atom_site_fract_y
_atom_site_fract_z
La1 La 0.0000 0.0000 0.0000
La2 La 0.0000 0.0000 0.2938
La3 La 0.0568 0.2969 0.6614
Co1 Co 0.0000 0.1129 0.5000
Ag1 Ag 0.1679 0.1679 0.1679
```


(2)
Theoretical X-ray powder pattern of NpCu3O8 for Cu Kα, 1.54184 Å, from DFT lattice parameters and positions (GGA-PBE).
Kinematic intensities with the Lorentz-polarization factor, no thermal factor.

The 6 most intense peaks (15 to 90 degrees two-theta), by angle:
5.795 Å, I = 100.0, (0 1 0)
4.595 Å, I = 31.3, (1 0 0)
4.416 Å, I = 51.6, (1 0 1)
3.217 Å, I = 26.8, (1 -1 1)
3.032 Å, I = 70.4, (0 1 2)
2.298 Å, I = 31.6, (2 0 0)

Structure:
```
data_NpCu3O8
_chemical_formula_sum 'Np1 Cu3 O8'
_cell_length_a 4.9040
_cell_length_b 6.1700
_cell_length_c 6.5542
_cell_angle_alpha 70.28
_cell_angle_beta 69.82
_cell_angle_gamma 86.37
_symmetry_space_group_name_H-M 'P 1'
_symmetry_Int_Tables_number 1
loop_
_symmetry_equiv_pos_as_xyz
'x,y,z'
loop_
_atom_site_label
_atom_site_type_symbol
_atom_site_fract_x
_atom_site_fract_y
_atom_site_fract_z
Np1 Np 0.0000 0.0000 0.0000
Cu1 Cu 0.0167 0.3816 0.2604
Cu2 Cu 0.5463 0.3931 0.7884
Cu3 Cu 0.6609 0.9903 0.6220
O1 O 0.0021 0.6949 0.1964
O2 O 0.0158 0.3113 0.8372
O3 O 0.0792 0.9152 0.7395
O4 O 0.3977 0.3985 0.0794
O5 O 0.5036 0.0489 0.9101
O6 O 0.6068 0.6976 0.6383
O7 O 0.6710 0.3166 0.5137
O8 O 0.9346 0.0777 0.2946
```


(3)
Theoretical X-ray powder pattern of Pr7PCl12 for Cu Kα, 1.54184 Å, from DFT lattice parameters and positions (GGA-PBE).
Kinematic intensities with the Lorentz-polarization factor, no thermal factor.

The 6 most intense peaks (15 to 90 degrees two-theta), by angle:
3.350 Å, I = 29.4, (1 3 1)
2.901 Å, I = 100.0, (4 -1 2)
2.051 Å, I = 69.3, (5 2 0)
1.675 Å, I = 22.1, (2 6 2)
1.297 Å, I = 27.1, (9 1 2)
1.184 Å, I = 19.2, (3 9 0)

Structure:
```
data_Pr7PCl12
_chemical_formula_sum 'Pr21 P3 Cl36'
_cell_length_a 14.7978
_cell_length_b 14.7978
_cell_length_c 10.0445
_cell_angle_alpha 90.00
_cell_angle_beta 90.00
_cell_angle_gamma 120.00
_symmetry_space_group_name_H-M 'R -3'
_symmetry_Int_Tables_number 148
_symmetry_space_group_name_Hall '-R 3'
loop_
_atom_site_label
_atom_site_type_symbol
_atom_site_fract_x
_atom_site_fract_y
_atom_site_fract_z
Pr1 Pr 0.0000 0.0000 0.0000
Pr2 Pr 0.0423 0.8731 0.3462
P1 P 0.0000 0.0000 0.5000
Cl1 Cl 0.0250 0.4426 0.1617
Cl2 Cl 0.0434 0.8711 0.8372
```


(4)
Theoretical X-ray powder pattern of Pr8Sm6Sn for Cu Kα, 1.54184 Å, from DFT lattice parameters and positions (GGA-PBE).
Kinematic intensities with the Lorentz-polarization factor, no thermal factor.

The 6 most intense peaks (15 to 90 degrees two-theta), by angle:
3.496 Å, I = 18.3, (2 0 1)
3.118 Å, I = 19.4, (1 0 2)
3.090 Å, I = 26.4, (2 1 0)
2.809 Å, I = 100.0, (3 -2 1)
2.744 Å, I = 37.9, (1 1 2)
1.784 Å, I = 16.9, (1 4 0)

Structure:
```
data_Pr8Sm6Sn
_chemical_formula_sum 'Pr8 Sm6 Sn1'
_cell_length_a 9.4408
_cell_length_b 9.4408
_cell_length_c 6.7462
_cell_angle_alpha 90.00
_cell_angle_beta 90.00
_cell_angle_gamma 120.00
_symmetry_space_group_name_H-M 'P -3'
_symmetry_Int_Tables_number 147
loop_
_symmetry_equiv_pos_as_xyz
'x,y,z'
'-x,-y,-z'
'-y,x-y,z'
'y,-x+y,-z'
'-x+y,-x,z'
'x-y,x,-z'
loop_
_atom_site_label
_atom_site_type_symbol
_atom_site_fract_x
_atom_site_fract_y
_atom_site_fract_z
Pr1 Pr 0.0414 0.2703 0.3209
Pr2 Pr 0.3333 0.6667 0.3733
Sm1 Sm 0.0943 0.4427 0.8384
Sn1 Sn 0.0000 0.0000 0.0000
```


(5)
Theoretical X-ray powder pattern of Li2TlF2 for Cu Kα, 1.54184 Å, from DFT lattice parameters and positions (GGA-PBE).
Kinematic intensities with the Lorentz-polarization factor, no thermal factor.

The 6 most intense peaks (15 to 90 degrees two-theta), by angle:
3.769 Å, I = 88.1, (2 1 1)
3.390 Å, I = 100.0, (2 2 0)
3.050 Å, I = 94.5, (2 0 2)
2.397 Å, I = 36.6, (4 0 0)
2.245 Å, I = 33.4, (2 1 3)
1.885 Å, I = 49.7, (4 2 2)

Structure:
```
data_Li2TlF2
_chemical_formula_sum 'Li16 Tl8 F16'
_cell_length_a 9.5884
_cell_length_b 9.5884
_cell_length_c 7.9042
_cell_angle_alpha 90.00
_cell_angle_beta 90.00
_cell_angle_gamma 90.00
_symmetry_space_group_name_H-M 'I 41/a m d'
_symmetry_Int_Tables_number 141
loop_
_symmetry_equiv_pos_as_xyz
'x,y,z'
'-x,-y,-z'
'-y+1/4,x+3/4,z+1/4'
'y+1/4,-x+3/4,-z+1/4'
'-x+1/2,-y,z+1/2'
'x+1/2,y,-z+1/2'
'y+1/4,-x+1/4,z+3/4'
'-y+1/4,x+1/4,-z+3/4'
'x,-y,-z'
'-x,y,z'
'-y+1/4,-x+1/4,-z+3/4'
'y+1/4,x+1/4,z+3/4'
'-x+1/2,y,-z+1/2'
'x+1/2,-y,z+1/2'
'y+1/4,x+3/4,-z+1/4'
'-y+1/4,-x+3/4,z+1/4'
'x+1/2,y+1/2,z+1/2'
'-x+1/2,-y+1/2,-z+1/2'
'-y+3/4,x+1/4,z+3/4'
'y+3/4,-x+1/4,-z+3/4'
'-x,-y+1/2,z'
'x,y+1/2,-z'
'y+3/4,-x+3/4,z+1/4'
'-y+3/4,x+3/4,-z+1/4'
'x+1/2,-y+1/2,-z+1/2'
'-x+1/2,y+1/2,z+1/2'
'-y+3/4,-x+3/4,-z+1/4'
'y+3/4,x+3/4,z+1/4'
'-x,y+1/2,-z'
'x,-y+1/2,z'
'y+3/4,x+1/4,-z+3/4'
'-y+3/4,-x+1/4,z+3/4'
loop_
_atom_site_label
_atom_site_type_symbol
_atom_site_fract_x
_atom_site_fract_y
_atom_site_fract_z
Li1 Li 0.0000 0.1152 0.0465
Tl1 Tl 0.0000 0.0000 0.5000
F1 F 0.0000 0.0527 0.8285
```


(6)
Theoretical X-ray powder pattern of Cd5Bi6Cl12O8 for Cu Kα, 1.54184 Å, from DFT lattice parameters and positions (GGA-PBE).
Kinematic intensities with the Lorentz-polarization factor, no thermal factor.

The 6 most intense peaks (15 to 90 degrees two-theta), by angle:
3.441 Å, I = 100.0, (1 2 3)
2.900 Å, I = 85.9, (1 2 5)
2.777 Å, I = 39.9, (2 0 0)
2.768 Å, I = 37.6, (0 4 0)
2.421 Å, I = 40.6, (1 2 7)
1.960 Å, I = 34.4, (2 4 0)

Structure:
```
data_Cd5Bi6Cl12O8
_chemical_formula_sum 'Cd10 Bi12 Cl24 O16'
_cell_length_a 5.5531
_cell_length_b 11.0702
_cell_length_c 21.5534
_cell_angle_alpha 90.00
_cell_angle_beta 90.00
_cell_angle_gamma 90.00
_symmetry_space_group_name_H-M 'I m m m'
_symmetry_Int_Tables_number 71
_symmetry_space_group_name_Hall '-I 2 2'
loop_
_atom_site_label
_atom_site_type_symbol
_atom_site_fract_x
_atom_site_fract_y
_atom_site_fract_z
Cd1 Cd 0.0000 0.0000 0.0000
Cd2 Cd 0.0000 0.2312 0.5000
Cd3 Cd 0.0000 0.5000 0.3061
Bi1 Bi 0.0000 0.0000 0.3049
Bi2 Bi 0.0000 0.2547 0.1933
Cl1 Cl 0.0000 0.0000 0.1238
Cl2 Cl 0.0000 0.0000 0.5000
Cl3 Cl 0.0000 0.2339 0.0000
Cl4 Cl 0.0000 0.2681 0.3810
Cl5 Cl 0.0000 0.5000 0.1277
Cl6 Cl 0.0000 0.5000 0.5000
O1 O 0.2437 0.1280 0.2500
```


(7)
Theoretical X-ray powder pattern of LiTbY4S8 for Cu Kα, 1.54184 Å, from DFT lattice parameters and positions (GGA-PBE).
Kinematic intensities with the Lorentz-polarization factor, no thermal factor.

The 6 most intense peaks (15 to 90 degrees two-theta), by angle:
3.423 Å, I = 100.0, (0 1 5)
2.838 Å, I = 65.6, (0 2 4)
2.184 Å, I = 48.1, (1 2 5)
2.007 Å, I = 78.6, (2 2 0)
1.478 Å, I = 22.3, (1 0 13)
1.159 Å, I = 17.7, (4 2 8)

Structure:
```
data_LiTbY4S8
_chemical_formula_sum 'Li3 Tb3 Y12 S24'
_cell_length_a 8.0225
_cell_length_b 8.0225
_cell_length_c 19.6797
_cell_angle_alpha 90.00
_cell_angle_beta 90.00
_cell_angle_gamma 120.00
_symmetry_space_group_name_H-M 'R 3 m'
_symmetry_Int_Tables_number 160
_symmetry_space_group_name_Hall 'R 3 -2"'
loop_
_atom_site_label
_atom_site_type_symbol
_atom_site_fract_x
_atom_site_fract_y
_atom_site_fract_z
Li1 Li 0.0000 0.0000 0.0000
Tb1 Tb 0.0000 0.0000 0.6296
Y1 Y 0.0000 0.0000 0.2500
Y2 Y 0.1728 0.3455 0.4568
S1 S 0.0000 0.0000 0.3835
S2 S 0.0000 0.0000 0.8684
S3 S 0.0170 0.5085 0.3773
S4 S 0.1778 0.3555 0.2052
```


(8)
Theoretical X-ray powder pattern of NaH6PdRh for Cu Kα, 1.54184 Å, from DFT lattice parameters and positions (GGA-PBE).
Kinematic intensities with the Lorentz-polarization factor, no thermal factor.

The 6 most intense peaks (15 to 90 degrees two-theta), by angle:
4.531 Å, I = 75.3, (2 0 0)
3.382 Å, I = 81.0, (0 0 1)
2.710 Å, I = 74.2, (2 0 -1)
2.680 Å, I = 63.0, (0 2 0)
2.631 Å, I = 100.0, (3 1 0)
2.077 Å, I = 58.6, (3 1 1)

Structure:
```
data_NaH6PdRh
_chemical_formula_sum 'Na2 H12 Pd2 Rh2'
_cell_length_a 9.0616
_cell_length_b 5.3597
_cell_length_c 3.3824
_cell_angle_alpha 90.00
_cell_angle_beta 90.10
_cell_angle_gamma 90.00
_symmetry_space_group_name_H-M 'C 1 m 1'
_symmetry_Int_Tables_number 8
loop_
_symmetry_equiv_pos_as_xyz
'x,y,z'
'x,-y,z'
'x+1/2,y+1/2,z'
'x+1/2,-y+1/2,z'
loop_
_atom_site_label
_atom_site_type_symbol
_atom_site_fract_x
_atom_site_fract_y
_atom_site_fract_z
Na1 Na 0.0000 0.0000 0.0000
H1 H 0.0020 0.5000 0.4959
H2 H 0.1451 0.1943 0.4997
H3 H 0.1564 0.5000 0.9992
H4 H 0.3480 0.3170 0.4994
Pd1 Pd 0.3102 0.0000 0.4997
Rh1 Rh 0.1892 0.5000 0.4993
```


(9)
Theoretical X-ray powder pattern of OsPtSe4 for Cu Kα, 1.54184 Å, from DFT lattice parameters and positions (GGA-PBE).
Kinematic intensities with the Lorentz-polarization factor, no thermal factor.

The 6 most intense peaks (15 to 90 degrees two-theta), by angle:
5.283 Å, I = 85.2, (2 0 0)
2.774 Å, I = 50.8, (0 0 2)
2.755 Å, I = 100.0, (3 1 -1)
2.046 Å, I = 72.0, (5 1 -1)
1.873 Å, I = 36.9, (3 1 -3)
1.547 Å, I = 44.4, (5 1 1)

Structure:
```
data_OsPtSe4
_chemical_formula_sum 'Os2 Pt2 Se8'
_cell_length_a 12.3836
_cell_length_b 3.7262
_cell_length_c 6.5015
_cell_angle_alpha 90.00
_cell_angle_beta 121.44
_cell_angle_gamma 90.00
_symmetry_space_group_name_H-M 'C 1 2/m 1'
_symmetry_Int_Tables_number 12
loop_
_symmetry_equiv_pos_as_xyz
'x,y,z'
'-x,-y,-z'
'-x,y,-z'
'x,-y,z'
'x+1/2,y+1/2,z'
'-x+1/2,-y+1/2,-z'
'-x+1/2,y+1/2,-z'
'x+1/2,-y+1/2,z'
loop_
_atom_site_label
_atom_site_type_symbol
_atom_site_fract_x
_atom_site_fract_y
_atom_site_fract_z
Os1 Os 0.0000 0.0000 0.0000
Pt1 Pt 0.0000 0.5000 0.5000
Se1 Se 0.1238 0.0000 0.4518
Se2 Se 0.1236 0.5000 0.9619
```


(10)
Theoretical X-ray powder pattern of Ti6Sn2HN for Cu Kα, 1.54184 Å, from DFT lattice parameters and positions (GGA-PBE).
Kinematic intensities with the Lorentz-polarization factor, no thermal factor.

The 6 most intense peaks (15 to 90 degrees two-theta), by angle:
4.182 Å, I = 18.6, (1 1 0)
2.957 Å, I = 26.4, (2 0 0)
2.414 Å, I = 100.0, (2 0 2)
2.091 Å, I = 53.9, (2 2 0)
1.478 Å, I = 33.7, (4 0 0)
1.261 Å, I = 36.2, (4 2 2)

Structure:
```
data_Ti6Sn2HN
_chemical_formula_sum 'Ti12 Sn4 H2 N2'
_cell_length_a 5.9157
_cell_length_b 5.9157
_cell_length_c 8.3584
_cell_angle_alpha 90.00
_cell_angle_beta 90.00
_cell_angle_gamma 90.00
_symmetry_space_group_name_H-M 'I 4/m m m'
_symmetry_Int_Tables_number 139
_symmetry_space_group_name_Hall '-I 4 2'
loop_
_atom_site_label
_atom_site_type_symbol
_atom_site_fract_x
_atom_site_fract_y
_atom_site_fract_z
Ti1 Ti 0.0000 0.0000 0.2469
Ti2 Ti 0.2470 0.2470 0.0000
Sn1 Sn 0.0000 0.5000 0.2500
H1 H 0.0000 0.0000 0.0000
N1 N 0.0000 0.0000 0.5000
```


(11)
Theoretical X-ray powder pattern of Pr7NdSm4 for Cu Kα, 1.54184 Å, from DFT lattice parameters and positions (GGA-PBE).
Kinematic intensities with the Lorentz-polarization factor, no thermal factor.

The 6 most intense peaks (15 to 90 degrees two-theta), by angle:
3.191 Å, I = 35.9, (1 2 0)
2.977 Å, I = 50.3, (0 0 3)
2.897 Å, I = 100.0, (2 0 -2)
2.757 Å, I = 58.3, (2 0 1)
2.754 Å, I = 28.6, (-1 2 2)
1.575 Å, I = 37.8, (3 2 2)

Structure:
```
data_Pr7NdSm4
_chemical_formula_sum 'Pr7 Nd1 Sm4'
_cell_length_a 6.4374
_cell_length_b 7.4100
_cell_length_c 9.1854
_cell_angle_alpha 90.05
_cell_angle_beta 103.52
_cell_angle_gamma 90.01
_symmetry_space_group_name_H-M 'P -1'
_symmetry_Int_Tables_number 2
loop_
_symmetry_equiv_pos_as_xyz
'x,y,z'
'-x,-y,-z'
loop_
_atom_site_label
_atom_site_type_symbol
_atom_site_fract_x
_atom_site_fract_y
_atom_site_fract_z
Pr1 Pr 0.0000 0.0000 0.0000
Pr2 Pr 0.2214 0.4998 0.6669
Pr3 Pr 0.2802 0.7517 0.3338
Pr4 Pr 0.5000 0.2485 0.0009
Nd1 Nd 0.0000 0.5000 0.0000
Sm1 Sm 0.2195 0.9997 0.6667
Sm2 Sm 0.2786 0.2485 0.3322
```


(12)
Theoretical X-ray powder pattern of Nb4Co for Cu Kα, 1.54184 Å, from DFT lattice parameters and positions (GGA-PBE).
Kinematic intensities with the Lorentz-polarization factor, no thermal factor.

The 6 most intense peaks (15 to 90 degrees two-theta), by angle:
2.495 Å, I = 100.0, (2 1 1)
2.455 Å, I = 35.6, (0 0 2)
2.313 Å, I = 89.7, (1 4 1)
2.174 Å, I = 33.1, (1 5 0)
1.962 Å, I = 29.4, (1 3 2)
1.290 Å, I = 21.9, (3 5 2)

Structure:
```
data_Nb4Co
_chemical_formula_sum 'Nb16 Co4'
_cell_length_a 5.9793
_cell_length_b 11.6672
_cell_length_c 4.9108
_cell_angle_alpha 90.00
_cell_angle_beta 90.00
_cell_angle_gamma 90.00
_symmetry_space_group_name_H-M 'I b a m'
_symmetry_Int_Tables_number 72
_symmetry_space_group_name_Hall '-I 2 2c'
loop_
_atom_site_label
_atom_site_type_symbol
_atom_site_fract_x
_atom_site_fract_y
_atom_site_fract_z
Nb1 Nb 0.1410 0.1809 0.0000
Nb2 Nb 0.1489 0.4158 0.0000
Co1 Co 0.0000 0.0000 0.2500
```


Number 6 is which compound?
Cd5Bi6Cl12O8